# 1
This entry pairs a crystal structure of ZnSiAs4 with its computed X-ray diffraction stick pattern. Radiation: a wavelength of 1.5418 Å. Structure: a crystal structure in Alexandria, relaxed with GGA-PBE.
No peak broadening, texture or thermal motion is included.

```
ZnSiAs4
1.0
0.000 3.918 3.918
3.918 0.000 3.918
3.918 3.918 0.000
Zn Si As
1 1 4
Cartesian
0.000 0.000 0.000 Zn
1.959 1.959 1.959 Si
4.898 2.939 2.939 As
2.939 4.898 2.939 As
2.939 2.939 4.898 As
4.898 4.898 4.898 As
```

Largest 12 diffraction maxima, by angle, 10 to 90 degrees two-theta:
| d (Å) | intensity |
| --- | --- |
| 4.525 | 27 |
| 2.771 | 15 |
| 2.363 | 100 |
| 2.262 | 55 |
| 1.959 | 12 |
| 1.798 | 7 |
| 1.600 | 5 |
| 1.508 | 32 |
| 1.385 | 29 |
| 1.325 | 5 |
| 1.195 | 11 |
| 1.181 | 20 |

# 2
This entry pairs a crystal structure of Hf2Zn4Au with its computed X-ray diffraction stick pattern. Radiation: a wavelength of 1.5418 Å. Structure: a crystal structure in Alexandria, relaxed with GGA-PBE.
No peak broadening, texture or thermal motion is included.

```
Hf2Zn4Au
1.0
0.000 4.735 4.952
2.672 0.000 4.952
2.672 4.735 0.000
Hf Zn Au
2 4 1
Cartesian
2.672 4.735 1.620 Hf
2.672 4.735 8.285 Hf
1.336 2.367 0.000 Zn
1.336 2.367 2.476 Zn
1.336 2.367 4.952 Zn
4.008 7.102 7.429 Zn
2.672 4.735 4.952 Au
```

Largest 12 diffraction maxima, by angle, 10 to 90 degrees two-theta:
| d (Å) | intensity |
| --- | --- |
| 4.735 | 22 |
| 2.693 | 100 |
| 2.367 | 41 |
| 2.327 | 77 |
| 2.098 | 49 |
| 1.570 | 20 |
| 1.559 | 10 |
| 1.547 | 19 |
| 1.404 | 21 |
| 1.359 | 14 |
| 1.346 | 12 |
| 1.208 | 17 |

# 3
This entry pairs a crystal structure of TbNdCuRu with its computed X-ray diffraction stick pattern. Radiation: a wavelength of 1.5418 Å. Structure: a crystal structure in Alexandria, relaxed with GGA-PBE.
No peak broadening, texture or thermal motion is included.

```
TbNdCuRu
1.0
4.314 0.000 0.000
0.000 1.957 5.311
0.000 -1.957 5.311
Tb Nd Cu Ru
1 1 1 1
Cartesian
0.000 0.000 0.000 Tb
2.157 0.000 2.989 Nd
0.000 0.000 7.510 Cu
2.157 0.000 5.943 Ru
```

Largest 12 diffraction maxima, by angle, 10 to 90 degrees two-theta:
| d (Å) | intensity |
| --- | --- |
| 3.349 | 20 |
| 2.796 | 100 |
| 2.655 | 24 |
| 2.625 | 37 |
| 2.261 | 22 |
| 2.243 | 53 |
| 2.157 | 27 |
| 1.957 | 20 |
| 1.667 | 19 |
| 1.449 | 15 |
| 1.415 | 13 |
| 1.183 | 15 |

# 4
This entry pairs a crystal structure of LiAc2TeO6 with its computed X-ray diffraction stick pattern. Radiation: a wavelength of 1.5418 Å. Structure: a crystal structure in Alexandria, relaxed with GGA-PBE.
No peak broadening, texture or thermal motion is included.

```
LiAc2TeO6
1.0
5.843 0.000 0.000
0.000 5.990 0.000
-5.805 0.000 8.268
Li Ac Te O
2 4 2 12
Cartesian
0.000 0.000 0.000 Li
-2.902 2.995 4.134 Li
-2.954 0.289 6.193 Ac
-0.052 2.706 2.059 Ac
0.090 3.284 6.210 Ac
2.993 5.701 2.076 Ac
0.019 0.000 4.134 Te
2.922 2.995 0.000 Te
-1.642 1.195 3.771 O
-4.544 1.801 7.905 O
-1.135 4.296 3.734 O
-4.037 4.689 7.868 O
0.518 0.170 2.123 O
-2.384 2.825 6.257 O
2.423 3.165 2.012 O
-0.480 5.820 6.146 O
4.076 1.301 0.400 O
1.173 1.694 4.534 O
4.583 4.190 0.364 O
1.680 4.796 4.498 O
```

Largest 12 diffraction maxima, by angle, 10 to 90 degrees two-theta:
| d (Å) | intensity |
| --- | --- |
| 4.183 | 61 |
| 4.134 | 35 |
| 2.995 | 42 |
| 2.945 | 100 |
| 2.935 | 100 |
| 2.922 | 50 |
| 2.091 | 43 |
| 2.067 | 27 |
| 2.028 | 26 |
| 1.842 | 26 |
| 1.719 | 24 |
| 1.693 | 35 |

# 5
This entry pairs a crystal structure of TbHfAl3 with its computed X-ray diffraction stick pattern. Radiation: a wavelength of 1.5418 Å. Structure: a crystal structure in Alexandria, relaxed with GGA-PBE.
No peak broadening, texture or thermal motion is included.

```
TbHfAl3
1.0
6.642 0.000 0.000
-3.321 5.752 0.000
0.000 0.000 5.895
Tb Hf Al
2 2 6
Cartesian
0.000 3.835 1.474 Tb
3.321 1.917 4.421 Tb
0.000 0.000 0.000 Hf
0.000 0.000 2.947 Hf
0.000 2.335 4.421 Al
-1.299 4.585 4.421 Al
2.022 1.168 1.474 Al
1.299 4.585 4.421 Al
4.620 1.168 1.474 Al
3.321 3.417 1.474 Al
```

Largest 12 diffraction maxima, by angle, 10 to 90 degrees two-theta:
| d (Å) | intensity |
| --- | --- |
| 5.752 | 29 |
| 4.117 | 32 |
| 3.321 | 100 |
| 2.623 | 72 |
| 2.585 | 37 |
| 2.059 | 44 |
| 2.040 | 20 |
| 1.917 | 19 |
| 1.750 | 28 |
| 1.661 | 19 |
| 1.403 | 23 |
| 1.204 | 16 |

# 6
This entry pairs a crystal structure of SnBi2Pb4 with its computed X-ray diffraction stick pattern. Radiation: a wavelength of 1.5418 Å. Structure: a crystal structure in Alexandria, relaxed with GGA-PBE.
No peak broadening, texture or thermal motion is included.

```
SnBi2Pb4
1.0
8.457 0.000 0.000
0.000 6.780 0.000
-4.101 0.000 7.783
Sn Bi Pb
2 4 8
Cartesian
-0.909 1.695 2.649 Sn
5.265 5.085 5.133 Sn
-0.911 5.085 2.821 Bi
1.788 1.695 0.474 Bi
2.568 5.085 7.308 Bi
5.267 1.695 4.962 Bi
1.632 5.085 0.492 Pb
-0.203 3.397 5.974 Pb
-0.203 6.773 5.974 Pb
2.113 1.695 3.821 Pb
2.243 5.085 3.962 Pb
4.558 0.007 1.809 Pb
4.558 3.383 1.809 Pb
2.724 1.695 7.291 Pb
```

Largest 12 diffraction maxima, by angle, 10 to 90 degrees two-theta:
| d (Å) | intensity |
| --- | --- |
| 3.082 | 81 |
| 2.906 | 100 |
| 2.887 | 100 |
| 2.766 | 86 |
| 2.698 | 25 |
| 2.645 | 66 |
| 2.556 | 55 |
| 2.220 | 28 |
| 1.768 | 25 |
| 1.464 | 29 |
| 1.462 | 29 |
| 1.445 | 36 |

# 7
This entry pairs a crystal structure of K2Be2Te3 with its computed X-ray diffraction stick pattern. Radiation: a wavelength of 1.5418 Å. Structure: a crystal structure in Alexandria, relaxed with GGA-PBE.
No peak broadening, texture or thermal motion is included.

```
K2Be2Te3
1.0
8.608 -7.387 0.000
8.608 7.387 0.000
-2.820 0.000 6.590
K Be Te
8 8 12
Cartesian
6.492 6.403 4.943 K
7.903 4.334 1.648 K
5.647 1.293 2.800 K
4.237 -1.293 6.095 K
10.158 1.293 0.495 K
8.748 -1.293 3.791 K
6.492 -4.334 4.943 K
7.903 -6.403 1.648 K
3.140 4.081 4.776 Be
1.702 1.121 5.277 Be
3.113 -1.121 1.982 Be
9.844 4.081 5.109 Be
4.550 -4.081 1.481 Be
11.282 1.121 4.609 Be
12.692 -1.121 1.313 Be
11.255 -4.081 1.814 Be
4.667 4.432 2.842 Te
2.860 1.069 0.602 Te
3.932 2.035 5.959 Te
1.449 -1.069 3.897 Te
11.139 4.432 0.453 Te
9.053 2.035 3.927 Te
5.342 -2.035 2.664 Te
3.256 -4.432 6.137 Te
12.945 1.069 2.693 Te
10.463 -2.035 0.632 Te
11.535 -1.069 5.988 Te
9.728 -4.432 3.748 Te
```

Largest 12 diffraction maxima, by angle, 10 to 90 degrees two-theta:
| d (Å) | intensity |
| --- | --- |
| 7.913 | 36 |
| 3.957 | 44 |
| 3.632 | 100 |
| 3.583 | 40 |
| 3.384 | 35 |
| 3.234 | 64 |
| 3.222 | 38 |
| 3.207 | 69 |
| 3.095 | 53 |
| 2.813 | 43 |
| 2.802 | 40 |
| 2.690 | 59 |

# 8
This entry pairs a crystal structure of NaPm2HgO5 with its computed X-ray diffraction stick pattern. Radiation: a wavelength of 1.5418 Å. Structure: a crystal structure in Alexandria, relaxed with GGA-PBE.
No peak broadening, texture or thermal motion is included.

```
NaPm2HgO5
1.0
6.760 0.000 0.000
0.000 6.760 0.000
0.000 0.000 6.227
Na Pm Hg O
2 4 2 10
Cartesian
0.000 0.000 0.000 Na
3.380 3.380 0.000 Na
1.180 2.200 3.113 Pm
2.200 5.580 3.113 Pm
4.560 1.180 3.113 Pm
5.580 4.560 3.113 Pm
0.000 3.380 0.000 Hg
3.380 0.000 0.000 Hg
0.000 0.000 3.113 O
0.950 4.330 1.658 O
0.950 4.330 4.568 O
2.430 0.950 1.658 O
2.430 0.950 4.568 O
3.380 3.380 3.113 O
4.330 5.810 1.658 O
4.330 5.810 4.568 O
5.810 2.430 1.658 O
5.810 2.430 4.568 O
```

Largest 12 diffraction maxima, by angle, 10 to 90 degrees two-theta:
| d (Å) | intensity |
| --- | --- |
| 4.780 | 67 |
| 3.792 | 21 |
| 3.113 | 43 |
| 3.023 | 18 |
| 2.971 | 100 |
| 2.720 | 47 |
| 2.609 | 18 |
| 2.390 | 23 |
| 2.169 | 38 |
| 2.022 | 50 |
| 1.896 | 22 |
| 1.769 | 22 |